Simulated powder XRD pattern of Sc2Rh for Cu Ka, from a crystal structure in Alexandria, relaxed with PBE.

Structural model:
```
data_Sc2Rh
_cell_length_a 4.5131
_cell_length_b 6.3815
_cell_length_c 4.4961
_cell_angle_alpha 90.00
_cell_angle_beta 90.00
_cell_angle_gamma 90.00
_symmetry_space_group_name_H-M 'P n n m'
_symmetry_Int_Tables_number 58
loop_
_symmetry_equiv_pos_as_xyz
'x,y,z'
'-x,-y,-z'
'-x,-y,z'
'x,y,-z'
'x+1/2,-y+1/2,-z+1/2'
'-x+1/2,y+1/2,z+1/2'
'-x+1/2,y+1/2,-z+1/2'
'x+1/2,-y+1/2,z+1/2'
loop_
_atom_site_label
_atom_site_type_symbol
_atom_site_fract_x
_atom_site_fract_y
_atom_site_fract_z
Sc1 Sc 0.0016 0.2501 0.0000
Rh1 Rh 0.0000 0.0000 0.5000
```

Largest 12 diffraction maxima, in order of rising 2θ, 10° ≤ 2θ ≤ 90°:
2θ/deg	I (rel.)	(hkl)
24.2	92	1 1 0
40.0	100	2 0 0
40.1	20	0 0 2
47.3	29	2 1 1
47.4	14	1 1 2
57.8	6	0 4 0
57.9	13	2 0 2
63.6	9	3 1 0
72.6	19	3 2 1
72.8	12	1 2 3
77.8	8	3 3 0
86.3	8	2 4 2